# SrDy4YS8
Calculated powder X-ray diffraction pattern, Cu Kα X-rays. Input: a structure optimized by DFT (PBE).
Peak positions follow from Bragg's law for the DFT cell and can differ from measured ones.

Crystal structure
```
data_SrDy4YS8
_chemical_formula_sum 'Sr3 Dy12 Y3 S24'
_cell_length_a 8.1601
_cell_length_b 8.1601
_cell_length_c 20.0008
_cell_angle_alpha 90.00
_cell_angle_beta 90.00
_cell_angle_gamma 120.00
_symmetry_space_group_name_H-M 'R 3 m'
_symmetry_Int_Tables_number 160
_symmetry_space_group_name_Hall 'R 3 -2"'
loop_
_atom_site_label
_atom_site_type_symbol
_atom_site_fract_x
_atom_site_fract_y
_atom_site_fract_z
Sr1 Sr 0.0000 0.0000 0.0000
Dy1 Dy 0.0000 0.0000 0.2502
Dy2 Dy 0.1692 0.3384 0.4578
Y1 Y 0.0000 0.0000 0.6270
S1 S 0.0000 0.0000 0.3828
S2 S 0.0000 0.0000 0.8609
S3 S 0.0373 0.5187 0.3801
S4 S 0.1766 0.3531 0.2058
```

Most intense lines, 2θ = 15–90°, low angle first:
2theta, d (Å), intensity, h k l
21.78, 4.081, 25, 1 0 4
25.60, 3.480, 100, 0 2 1
26.75, 3.332, 14, 0 0 6
30.99, 2.886, 25, 0 2 4
40.61, 2.221, 47, 0 2 7
44.40, 2.040, 60, 2 2 0
51.95, 1.760, 15, 4 0 1
61.73, 1.503, 24, 4 0 7
70.68, 1.333, 14, 0 0 15
81.75, 1.178, 19, 6 0 0